Calculated powder XRD pattern
Compound: RbCaVTePdF
Radiation: Cu Kα (λ = 1.5418 Å)
Structure: a PBE+U-relaxed structure
Lines closer than 0.1° are merged.

Structural model:
Unit cell a=7.724 b=3.962 c=10.569 alpha=90.00 beta=91.77 gamma=90.00
Space group Cm (No. 8)
Symmetry-distinct sites (fractional):
Rb 0.000 0.000 0.000
Ca 0.181 0.500 0.653
V 0.153 0.500 0.321
Te 0.478 0.500 0.470
Pd 0.325 0.000 0.207
F 0.234 0.000 0.766

Principal peaks in the range 5° ≤ 2θ ≤ 70°, in order of rising 2θ:
two_theta	intensity	(hkl)
8.4	100.0	0 0 1
28.2	26.7	2 0 -2
29.1	41.4	2 0 2
30.3	62.0	1 1 -2
30.7	41.3	1 1 2
35.8	26.8	1 1 -3
41.9	40.8	3 1 0
43.1	23.8	1 1 4